# 1
Computed XRD peak list
Compound: Co3Sn2S2
Radiation: Cu Kα (weighted mean of Kα1 and Kα2)
Structure: the PBE geometry in the Materials Project
No peak broadening, texture or thermal motion is included.

Cell and atoms:
```
data_Co3Sn2S2
_symmetry_space_group_name_H-M 'R -3 m'
_symmetry_Int_Tables_number 166
_symmetry_space_group_name_Hall '-R 3 2"'
_cell_length_a 5.3916
_cell_length_b 5.3916
_cell_length_c 13.1684
_cell_angle_alpha 90.00
_cell_angle_beta 90.00
_cell_angle_gamma 120.00
loop_
_atom_site_label
_atom_site_type_symbol
_atom_site_fract_x
_atom_site_fract_y
_atom_site_fract_z
Co1 Co 0.0000 0.5000 0.0000
Sn1 Sn 0.0000 0.0000 0.0000
Sn2 Sn 0.0000 0.0000 0.5000
S1 S 0.0000 0.0000 0.2195
```

Main lines, by angle (2θ from 10° to 80°):
d [Å]	2θ/deg	I/Imax
4.392	20.22	31
3.809	23.36	27
2.693	33.26	100
2.298	39.20	33
2.200	41.02	68
2.195	41.13	27
1.904	47.76	72
1.703	53.83	20
1.556	59.41	29
1.348	69.77	24

---

# 2
Computed XRD peak list
Compound: Na4TiO4
Radiation: Cu Kα (weighted mean of Kα1 and Kα2)
Structure: the PBE geometry in the Materials Project
No peak broadening, texture or thermal motion is included.

Cell and atoms:
```
data_Na4TiO4
_symmetry_space_group_name_H-M 'C m c m'
_symmetry_Int_Tables_number 63
_symmetry_space_group_name_Hall '-C 2c 2'
_cell_length_a 8.818
_cell_length_b 8.686
_cell_length_c 6.793
_cell_angle_alpha 90.00
_cell_angle_beta 90.00
_cell_angle_gamma 90.00
loop_
_atom_site_label
_atom_site_type_symbol
_atom_site_fract_x
_atom_site_fract_y
_atom_site_fract_z
Na1 Na 0.153 0.213 0.250
Na2 Na 0.164 0.500 0.000
Ti1 Ti 0.000 0.169 0.750
O1 O 0.000 0.292 0.526
O2 O 0.178 0.058 0.750
```

Main lines, by angle (2θ from 10° to 80°):
d [Å]	2θ/deg	I/Imax
4.575	19.40	35
3.094	28.85	57
2.978	30.01	100
2.751	32.55	24
2.676	33.49	26
2.576	34.82	72
1.974	45.98	23
1.763	51.86	32
1.698	53.99	28
1.524	60.79	25